Entry 1:
For Ca2Se, the GGA-PBE geometry in Alexandria gives the simulated XRD peak list in this record (λ = 1.5418 Å (Cu Kα)).
Peak positions follow from Bragg's law for the DFT cell and can differ from measured ones.

Most intense lines, 2θ from 10° to 80°, in order of rising 2θ:
- 2θ 12.92, I 31
- 2θ 16.38, I 54
- 2θ 20.60, I 46
- 2θ 30.38, I 86
- 2θ 31.25, I 100
- 2θ 31.95, I 67
- 2θ 34.20, I 97
- 2θ 34.93, I 33
- 2θ 43.44, I 37
- 2θ 46.10, I 32

Structural model:
```
Ca2Se
1.0
6.811 -1.969 0.000
6.811 1.969 0.000
-1.570 0.000 6.855
Ca Se
4 2
Direct
0.000 0.000 0.000 Ca
0.000 0.000 0.500 Ca
0.270 0.270 0.743 Ca
0.730 0.730 0.257 Ca
0.384 0.384 0.180 Se
0.616 0.616 0.820 Se
```


Entry 2:
For ThScCoNi, the GGA-PBE geometry in Alexandria gives the simulated XRD peak list in this record (λ = 1.5418 Å (Cu Kα)).
Peak positions follow from Bragg's law for the DFT cell and can differ from measured ones.

Most intense lines, 2θ from 10° to 80°, in order of rising 2θ:
- 2θ 23.08, I 47
- 2θ 26.71, I 16
- 2θ 38.13, I 100
- 2θ 45.04, I 26
- 2θ 47.16, I 5
- 2θ 55.03, I 17
- 2θ 60.45, I 12
- 2θ 62.19, I 7
- 2θ 68.91, I 34
- 2θ 73.75, I 9

Structural model:
```
ThScCoNi
1.0
0.000 3.338 3.338
3.338 0.000 3.338
3.338 3.338 0.000
Th Sc Co Ni
1 1 1 1
Direct
0.000 0.000 0.000 Th
0.500 0.500 0.500 Sc
0.750 0.750 0.750 Co
0.250 0.250 0.250 Ni
```


Entry 3:
For GePdF5, the GGA-PBE geometry in Alexandria gives the simulated XRD peak list in this record (λ = 1.5418 Å (Cu Kα)).
Peak positions follow from Bragg's law for the DFT cell and can differ from measured ones.

Most intense lines, 2θ from 10° to 80°, in order of rising 2θ:
- 2θ 21.85, I 87
- 2θ 26.35, I 54
- 2θ 26.48, I 100
- 2θ 34.48, I 20
- 2θ 34.59, I 37
- 2θ 44.54, I 22
- 2θ 46.59, I 25
- 2θ 46.82, I 20
- 2θ 52.01, I 16
- 2θ 52.54, I 40

Structural model:
```
GePdF5
1.0
-1.940 3.382 4.069
1.940 -3.382 4.069
1.940 3.382 -4.069
Ge Pd F
1 1 5
Direct
0.000 0.000 0.000 Ge
0.500 0.500 0.000 Pd
0.000 0.500 0.500 F
0.221 0.221 0.000 F
0.270 0.000 0.270 F
0.730 0.000 0.730 F
0.779 0.779 0.000 F
```


Entry 4:
For Na2Cr3H10, the GGA-PBE geometry in Alexandria gives the simulated XRD peak list in this record (λ = 1.5418 Å (Cu Kα)).
Peak positions follow from Bragg's law for the DFT cell and can differ from measured ones.

Most intense lines, 2θ from 10° to 80°, in order of rising 2θ:
- 2θ 13.02, I 70
- 2θ 16.30, I 26
- 2θ 17.07, I 74
- 2θ 31.85, I 20
- 2θ 32.72, I 47
- 2θ 34.31, I 54
- 2θ 35.33, I 100
- 2θ 39.52, I 19
- 2θ 41.32, I 18
- 2θ 59.02, I 19

Structural model:
```
Na2Cr3H10
1.0
7.186 -2.810 0.000
7.186 2.810 0.000
-2.035 0.000 5.966
Na Cr H
4 6 20
Direct
0.118 0.118 0.041 Na
0.211 0.211 0.611 Na
0.789 0.789 0.389 Na
0.882 0.882 0.959 Na
0.261 0.739 0.500 Cr
0.339 0.339 0.151 Cr
0.460 0.460 0.824 Cr
0.540 0.540 0.176 Cr
0.661 0.661 0.849 Cr
0.739 0.261 0.500 Cr
0.000 0.500 0.000 H
0.028 0.028 0.390 H
0.121 0.671 0.271 H
0.165 0.680 0.666 H
0.264 0.264 0.312 H
0.264 0.736 0.000 H
0.320 0.835 0.334 H
0.329 0.879 0.729 H
0.351 0.351 0.870 H
0.421 0.421 0.477 H
0.500 0.000 0.000 H
0.579 0.579 0.523 H
0.649 0.649 0.130 H
0.671 0.121 0.271 H
0.680 0.165 0.666 H
0.736 0.264 0.000 H
0.736 0.736 0.688 H
0.835 0.320 0.334 H
0.879 0.329 0.729 H
0.972 0.972 0.610 H
```


Entry 5:
For Na4U3CuN8, the GGA-PBE geometry in Alexandria gives the simulated XRD peak list in this record (λ = 1.5418 Å (Cu Kα)).
Peak positions follow from Bragg's law for the DFT cell and can differ from measured ones.

Most intense lines, 2θ from 10° to 80°, in order of rising 2θ:
- 2θ 15.70, I 100
- 2θ 29.13, I 20
- 2θ 31.32, I 32
- 2θ 31.68, I 43
- 2θ 32.14, I 39
- 2θ 34.80, I 25
- 2θ 38.08, I 40
- 2θ 40.13, I 15
- 2θ 52.53, I 30
- 2θ 64.57, I 13

Structural model:
```
Na4U3CuN8
1.0
6.157 -3.309 0.000
6.157 3.309 0.000
-3.689 0.000 5.654
Na U Cu N
4 3 1 8
Direct
0.000 0.000 0.000 Na
0.000 0.500 0.500 Na
0.500 0.000 0.500 Na
0.500 0.500 0.000 Na
0.000 0.000 0.500 U
0.000 0.500 0.000 U
0.500 0.000 0.000 U
0.500 0.500 0.500 Cu
0.211 0.725 0.263 N
0.227 0.227 0.764 N
0.232 0.232 0.175 N
0.275 0.789 0.737 N
0.725 0.211 0.263 N
0.768 0.768 0.825 N
0.773 0.773 0.236 N
0.789 0.275 0.737 N
```


Entry 6:
For Ta2Ir3Rh3, the GGA-PBE geometry in Alexandria gives the simulated XRD peak list in this record (λ = 1.5418 Å (Cu Kα)).
Peak positions follow from Bragg's law for the DFT cell and can differ from measured ones.

Most intense lines, 2θ from 10° to 80°, in order of rising 2θ:
- 2θ 11.33, I 2
- 2θ 22.66, I 4
- 2θ 25.44, I 1
- 2θ 32.39, I 4
- 2θ 39.91, I 100
- 2θ 46.26, I 16
- 2θ 46.49, I 32
- 2θ 52.31, I 2
- 2θ 67.67, I 21
- 2θ 67.85, I 11

Structural model:
```
Ta2Ir3Rh3
1.0
3.911 0.000 0.000
0.000 3.925 0.000
0.000 0.000 7.807
Ta Ir Rh
2 3 3
Direct
0.000 0.000 0.249 Ta
0.000 0.000 0.751 Ta
0.000 0.500 0.500 Ir
0.500 0.000 0.000 Ir
0.500 0.000 0.500 Ir
0.000 0.500 0.000 Rh
0.500 0.500 0.250 Rh
0.500 0.500 0.750 Rh
```


Entry 7:
For Np3TlP4N12, the GGA-PBE geometry in Alexandria gives the simulated XRD peak list in this record (λ = 1.5418 Å (Cu Kα)).
Peak positions follow from Bragg's law for the DFT cell and can differ from measured ones.

Most intense lines, 2θ from 10° to 80°, in order of rising 2θ:
- 2θ 16.34, I 26
- 2θ 21.33, I 87
- 2θ 26.99, I 23
- 2θ 27.44, I 100
- 2θ 33.03, I 30
- 2θ 34.14, I 14
- 2θ 35.87, I 27
- 2θ 39.98, I 24
- 2θ 44.64, I 25
- 2θ 45.05, I 19

Structural model:
```
Np3TlP4N12
1.0
5.425 3.132 3.001
-5.425 3.132 3.001
0.000 -6.264 3.001
Np Tl P N
3 1 4 12
Direct
0.000 0.554 0.446 Np
0.446 0.000 0.554 Np
0.554 0.446 0.000 Np
0.000 0.000 0.000 Tl
0.056 0.500 0.944 P
0.500 0.500 0.500 P
0.500 0.944 0.056 P
0.944 0.056 0.500 P
0.016 0.603 0.764 N
0.092 0.908 0.500 N
0.236 0.397 0.984 N
0.353 0.647 0.500 N
0.397 0.984 0.236 N
0.500 0.092 0.908 N
0.500 0.353 0.647 N
0.603 0.764 0.016 N
0.647 0.500 0.353 N
0.764 0.016 0.603 N
0.908 0.500 0.092 N
0.984 0.236 0.397 N
```


Entry 8:
For Tl11In4, the GGA-PBE geometry in Alexandria gives the simulated XRD peak list in this record (λ = 1.5418 Å (Cu Kα)).
Peak positions follow from Bragg's law for the DFT cell and can differ from measured ones.

Most intense lines, 2θ from 10° to 80°, in order of rising 2θ:
- 2θ 30.54, I 100
- 2θ 31.44, I 39
- 2θ 32.18, I 35
- 2θ 33.05, I 81
- 2θ 33.79, I 86
- 2θ 34.62, I 50
- 2θ 37.11, I 18
- 2θ 53.01, I 21
- 2θ 53.91, I 23
- 2θ 67.83, I 21

Structural model:
```
Tl11In4
1.0
12.071 0.000 0.000
0.000 12.071 0.000
0.000 0.000 6.269
Tl In
22 8
Direct
0.000 0.000 0.000 Tl
0.065 0.271 0.000 Tl
0.102 0.102 0.500 Tl
0.184 0.816 0.250 Tl
0.184 0.816 0.750 Tl
0.229 0.565 0.500 Tl
0.271 0.065 0.000 Tl
0.316 0.316 0.250 Tl
0.316 0.316 0.750 Tl
0.398 0.602 0.000 Tl
0.435 0.771 0.500 Tl
0.500 0.500 0.500 Tl
0.565 0.229 0.500 Tl
0.602 0.398 0.000 Tl
0.684 0.684 0.250 Tl
0.684 0.684 0.750 Tl
0.729 0.935 0.000 Tl
0.771 0.435 0.500 Tl
0.816 0.184 0.250 Tl
0.816 0.184 0.750 Tl
0.898 0.898 0.500 Tl
0.935 0.729 0.000 Tl
0.038 0.369 0.500 In
0.131 0.538 0.000 In
0.369 0.038 0.500 In
0.462 0.869 0.000 In
0.538 0.131 0.000 In
0.631 0.962 0.500 In
0.869 0.462 0.000 In
0.962 0.631 0.500 In
```


Entry 9:
For Np2Be2Si3, the GGA-PBE geometry in Alexandria gives the simulated XRD peak list in this record (λ = 1.5418 Å (Cu Kα)).
Peak positions follow from Bragg's law for the DFT cell and can differ from measured ones.

Most intense lines, 2θ from 10° to 80°, in order of rising 2θ:
- 2θ 22.35, I 62
- 2θ 24.83, I 79
- 2θ 28.06, I 45
- 2θ 30.23, I 24
- 2θ 36.16, I 69
- 2θ 36.79, I 100
- 2θ 47.74, I 23
- 2θ 51.47, I 24
- 2θ 55.54, I 22
- 2θ 60.53, I 22

Structural model:
```
Np2Be2Si3
1.0
2.044 -8.681 0.000
2.044 8.681 0.000
0.000 0.000 6.361
Np Be Si
4 4 6
Direct
0.048 0.952 0.750 Np
0.166 0.834 0.250 Np
0.834 0.166 0.750 Np
0.952 0.048 0.250 Np
0.323 0.677 0.081 Be
0.323 0.677 0.419 Be
0.677 0.323 0.581 Be
0.677 0.323 0.919 Be
0.215 0.785 0.750 Si
0.436 0.564 0.567 Si
0.436 0.564 0.933 Si
0.564 0.436 0.067 Si
0.564 0.436 0.433 Si
0.785 0.215 0.250 Si
```


Entry 10:
For HfSeI, the GGA-PBE geometry in Alexandria gives the simulated XRD peak list in this record (λ = 1.5418 Å (Cu Kα)).
Peak positions follow from Bragg's law for the DFT cell and can differ from measured ones.

Most intense lines, 2θ from 10° to 80°, in order of rising 2θ:
- 2θ 11.40, I 100
- 2θ 23.22, I 32
- 2θ 26.99, I 25
- 2θ 29.28, I 25
- 2θ 29.98, I 21
- 2θ 30.68, I 20
- 2θ 36.79, I 33
- 2θ 38.55, I 23
- 2θ 39.10, I 27
- 2θ 41.36, I 18

Structural model:
```
HfSeI
1.0
3.834 0.000 0.000
0.000 6.288 0.000
-0.292 0.000 7.764
Hf Se I
2 2 2
Direct
0.000 0.000 0.000 Hf
0.000 0.500 0.000 Hf
0.489 0.250 0.851 Se
0.511 0.750 0.149 Se
0.024 0.250 0.312 I
0.976 0.750 0.688 I
```


Entry 11:
For TaW, the GGA-PBE geometry in Alexandria gives the simulated XRD peak list in this record (λ = 1.5418 Å (Cu Kα)).
Peak positions follow from Bragg's law for the DFT cell and can differ from measured ones.

Most intense lines, 2θ from 10° to 80°, in order of rising 2θ:
- 2θ 39.18, I 100
- 2θ 39.56, I 49
- 2θ 56.05, I 9
- 2θ 57.18, I 17
- 2θ 70.76, I 18
- 2θ 71.51, I 35

Structural model:
```
TaW
1.0
3.222 0.000 0.000
0.000 3.222 0.000
0.000 0.000 6.563
Ta W
2 2
Direct
0.250 0.250 0.131 Ta
0.750 0.750 0.869 Ta
0.250 0.250 0.619 W
0.750 0.750 0.381 W
```


Entry 12:
For Mg4Cu3Pd, the GGA-PBE geometry in Alexandria gives the simulated XRD peak list in this record (λ = 1.5418 Å (Cu Kα)).
Peak positions follow from Bragg's law for the DFT cell and can differ from measured ones.

Most intense lines, 2θ from 10° to 80°, in order of rising 2θ:
- 2θ 27.10, I 18
- 2θ 28.79, I 32
- 2θ 39.95, I 100
- 2θ 41.17, I 46
- 2θ 49.99, I 13
- 2θ 55.89, I 9
- 2θ 59.63, I 15
- 2θ 64.08, I 6
- 2θ 71.73, I 16
- 2θ 74.21, I 29

Structural model:
```
Mg4Cu3Pd
1.0
4.385 0.000 0.000
0.000 4.385 0.000
0.000 0.000 6.580
Mg Cu Pd
4 3 1
Direct
0.000 0.500 0.250 Mg
0.000 0.500 0.750 Mg
0.500 0.000 0.250 Mg
0.500 0.000 0.750 Mg
0.000 0.000 0.000 Cu
0.000 0.000 0.500 Cu
0.500 0.500 0.000 Cu
0.500 0.500 0.500 Pd
```